# 1
The following is a theoretical powder XRD pattern of MgMnMoH. It was derived from the GGA-PBE geometry in Alexandria, using copper Kα.

The 10 most intense peaks (10 to 90 degrees two-theta), low angle first:
2θ/deg, d/Å, I/Imax
21.98, 4.043, 44
23.64, 3.764, 41
32.72, 2.737, 23
39.59, 2.277, 100
40.16, 2.246, 49
40.57, 2.223, 85
42.52, 2.126, 43
51.80, 1.765, 17
59.91, 1.544, 28
71.92, 1.313, 16

Structure:
Cell: 8.0881 4.2526 2.7373 Å, 90.00 91.15 90.00°
Sites, in units of the cell vectors:
Mg (0.0000, 0.0000, 0.0000)
Mg (0.5000, 0.5000, 0.0000)
Mn (0.3214, 0.0000, 0.3467)
Mn (0.8214, 0.5000, 0.3467)
Mo (0.1788, 0.5000, 0.5844)
Mo (0.6788, 0.0000, 0.5844)
H (0.4564, 0.0000, 0.8489)
H (0.9564, 0.5000, 0.8489)

=====

# 2
The following is a theoretical powder XRD pattern of Sc3AlO. It was derived from the GGA-PBE geometry in Alexandria, using copper Kα.

The 10 most intense peaks (10 to 90 degrees two-theta), low angle first:
2θ/deg, d/Å, I/Imax
28.69, 3.111, 15
29.97, 2.981, 61
32.97, 2.717, 28
35.40, 2.535, 100
38.58, 2.334, 30
45.37, 1.999, 32
52.48, 1.744, 40
64.91, 1.437, 15
67.00, 1.397, 30
88.10, 1.109, 13

Structure:
Cell: 3.4871 3.4871 18.6689 Å, 90.00 90.00 120.00°
Sites, in units of the cell vectors:
Sc (0.0000, 0.0000, 0.2500)
Sc (0.0000, 0.0000, 0.7500)
Sc (0.3333, 0.6667, 0.1131)
Sc (0.3333, 0.6667, 0.3869)
Sc (0.6667, 0.3333, 0.6131)
Sc (0.6667, 0.3333, 0.8869)
Al (0.0000, 0.0000, 0.0000)
Al (0.0000, 0.0000, 0.5000)
O (0.3333, 0.6667, 0.2500)
O (0.6667, 0.3333, 0.7500)